Record 1
Theoretical PXRD pattern of Hf5CuPb3 for a wavelength of 1.5418 Å, from a DFT-relaxed cell (GGA-PBE, the Materials Project).
Neutral-atom scattering factors, no anomalous dispersion.

Peak list (10 most intense, 10° ≤ 2θ ≤ 80°, by angle)
2θ (°)  d (Å)  Rel. int.
30.42  2.938  18.1
31.39  2.850  15.6
34.99  2.564  98.5
35.72  2.514  76.4
36.91  2.436  100.0
46.07  1.970  23.2
52.30  1.749  24.1
55.36  1.660  13.1
57.05  1.614  24.7
74.86  1.268  18.2

Unit cell a=8.7070 b=8.7070 c=5.8768 alpha=90.00 beta=90.00 gamma=120.00
Space group P6_3/mcm (No. 193)
Unique sites:
1 Hf 0.0000 0.2572 0.2500 x6
2 Hf 0.3333 0.6667 0.0000 x4
3 Cu 0.0000 0.0000 0.0000 x2
4 Pb 0.0000 0.3891 0.7500 x6

=====

Record 2
Theoretical PXRD pattern of RbHfCu3Se4 for a wavelength of 1.5418 Å, from a DFT-relaxed cell (GGA-PBE, the Materials Project).
Neutral-atom scattering factors, no anomalous dispersion.

Peak list (10 most intense, 10° ≤ 2θ ≤ 80°, by angle)
2θ (°)  d (Å)  Rel. int.
14.04  6.309  50.0
19.90  4.461  42.7
24.44  3.642  48.7
34.83  2.575  22.6
40.44  2.230  100.0
47.82  1.902  19.4
52.28  1.750  14.0
54.42  1.686  15.6
58.52  1.577  15.2
73.55  1.288  28.5

Unit cell a=6.309 b=6.309 c=6.309 alpha=90.00 beta=90.00 gamma=90.00
Space group P-43m (No. 215)
Unique sites:
1 Rb 0.000 0.000 0.000 x1
2 Hf 0.500 0.500 0.500 x1
3 Cu 0.000 0.500 0.500 x3
4 Se 0.274 0.274 0.726 x4

=====

Record 3
Theoretical PXRD pattern of Hf2CuRe for a wavelength of 1.5418 Å, from a DFT-relaxed cell (GGA-PBE, the Materials Project).
Neutral-atom scattering factors, no anomalous dispersion.

Peak list (10 most intense, 10° ≤ 2θ ≤ 80°, by angle)
2θ (°)  d (Å)  Rel. int.
23.60  3.769  8.6
27.32  3.264  3.3
39.02  2.308  100.0
46.11  1.968  4.6
48.29  1.885  1.0
56.37  1.632  17.2
61.96  1.498  2.0
63.76  1.460  1.4
70.69  1.333  34.8
75.70  1.256  1.6

Unit cell a=6.528 b=6.528 c=6.528 alpha=90.00 beta=90.00 gamma=90.00
Space group Fm-3m (No. 225)
Unique sites:
1 Hf 0.250 0.250 0.250 x8
2 Cu 0.000 0.000 0.000 x4
3 Re 0.000 0.000 0.500 x4